Entry 1:
Structure and theoretical powder diffraction line list of Tb3TlF10 (the PBE geometry in the Materials Project; a wavelength of 1.5418 Å).
No peak broadening, texture or thermal motion is included.

Top 10 peaks for 2θ from 15° to 90°, sorted by position:
- 2θ 25.52, rel. 43.5
- 2θ 26.21, rel. 36.3
- 2θ 27.98, rel. 100.0
- 2θ 31.68, rel. 20.7
- 2θ 41.57, rel. 13.9
- 2θ 43.40, rel. 34.2
- 2θ 47.35, rel. 30.5
- 2θ 51.41, rel. 40.1
- 2θ 52.43, rel. 20.9
- 2θ 70.35, rel. 14.8

Structure:
```
Tb3TlF10
1.0
8.340 0.000 0.000
-4.170 7.222 0.000
0.000 0.000 13.600
Tb Tl F
12 4 40
Direct
0.012 0.506 0.000 Tb
0.174 0.348 0.242 Tb
0.174 0.826 0.242 Tb
0.348 0.174 0.742 Tb
0.494 0.506 0.000 Tb
0.494 0.988 0.000 Tb
0.506 0.012 0.500 Tb
0.506 0.494 0.500 Tb
0.652 0.826 0.242 Tb
0.826 0.174 0.742 Tb
0.826 0.652 0.742 Tb
0.988 0.494 0.500 Tb
0.000 0.000 0.009 Tl
0.000 0.000 0.509 Tl
0.333 0.667 0.746 Tl
0.667 0.333 0.246 Tl
0.003 0.340 0.369 F
0.003 0.663 0.369 F
0.044 0.522 0.175 F
0.109 0.218 0.706 F
0.109 0.891 0.706 F
0.186 0.371 0.064 F
0.186 0.814 0.064 F
0.218 0.109 0.206 F
0.223 0.446 0.535 F
0.223 0.777 0.535 F
0.333 0.667 0.289 F
0.333 0.667 0.956 F
0.337 0.340 0.369 F
0.337 0.997 0.369 F
0.340 0.003 0.869 F
0.340 0.337 0.869 F
0.371 0.186 0.564 F
0.446 0.223 0.035 F
0.478 0.522 0.175 F
0.478 0.956 0.175 F
0.522 0.044 0.675 F
0.522 0.478 0.675 F
0.554 0.777 0.535 F
0.629 0.814 0.064 F
0.660 0.663 0.369 F
0.660 0.997 0.369 F
0.663 0.003 0.869 F
0.663 0.660 0.869 F
0.667 0.333 0.456 F
0.667 0.333 0.789 F
0.777 0.223 0.035 F
0.777 0.554 0.035 F
0.782 0.891 0.706 F
0.814 0.186 0.564 F
0.814 0.629 0.564 F
0.891 0.109 0.206 F
0.891 0.782 0.206 F
0.956 0.478 0.675 F
0.997 0.337 0.869 F
0.997 0.660 0.869 F
```

=====

Entry 2:
Structure and theoretical powder diffraction line list of ZrH (the PBE geometry in the Materials Project; a wavelength of 1.5418 Å).
No peak broadening, texture or thermal motion is included.

Top 10 peaks for 2θ from 15° to 90°, sorted by position:
- 2θ 32.87, rel. 100.0
- 2θ 35.83, rel. 19.1
- 2θ 39.24, rel. 29.6
- 2θ 54.18, rel. 23.6
- 2θ 56.71, rel. 10.2
- 2θ 62.52, rel. 14.8
- 2θ 67.12, rel. 23.8
- 2θ 68.92, rel. 10.8
- 2θ 88.99, rel. 5.6
- 2θ 89.40, rel. 11.1

Structure:
```
ZrH
1.0
3.247 0.000 0.000
0.000 3.247 0.000
0.000 0.000 5.013
Zr H
2 2
Direct
0.000 0.500 0.000 Zr
0.500 0.000 0.500 Zr
0.000 0.000 0.250 H
0.000 0.000 0.750 H
```

=====

Entry 3:
Structure and theoretical powder diffraction line list of MgBi8P8O32 (the PBE geometry in the Materials Project; a wavelength of 1.5418 Å).
No peak broadening, texture or thermal motion is included.

Top 10 peaks for 2θ from 15° to 90°, sorted by position:
- 2θ 21.23, rel. 96.5
- 2θ 21.46, rel. 84.3
- 2θ 22.14, rel. 100.0
- 2θ 25.70, rel. 50.3
- 2θ 25.97, rel. 48.0
- 2θ 27.42, rel. 57.9
- 2θ 28.48, rel. 81.6
- 2θ 30.42, rel. 79.8
- 2θ 32.85, rel. 44.9
- 2θ 33.11, rel. 81.3

Structure:
```
MgBi8P8O32
1.0
5.662 0.000 0.000
2.504 9.073 0.000
2.430 1.043 16.730
Mg Bi P O
1 8 8 32
Direct
0.000 0.000 0.000 Mg
0.016 0.901 0.176 Bi
0.278 0.750 0.721 Bi
0.304 0.217 0.239 Bi
0.624 0.560 0.239 Bi
0.633 0.081 0.705 Bi
0.637 0.497 0.972 Bi
0.945 0.427 0.718 Bi
0.968 0.987 0.449 Bi
0.141 0.116 0.615 P
0.201 0.583 0.125 P
0.417 0.844 0.305 P
0.474 0.373 0.810 P
0.744 0.747 0.842 P
0.758 0.257 0.349 P
0.806 0.760 0.593 P
0.855 0.249 0.102 P
0.112 0.185 0.131 O
0.141 0.994 0.686 O
0.197 0.054 0.533 O
0.263 0.542 0.037 O
0.275 0.450 0.185 O
0.276 0.722 0.309 O
0.285 0.294 0.789 O
0.328 0.203 0.630 O
0.345 0.943 0.378 O
0.354 0.694 0.139 O
0.362 0.948 0.227 O
0.396 0.438 0.892 O
0.498 0.335 0.324 O
0.504 0.495 0.740 O
0.561 0.713 0.612 O
0.561 0.830 0.781 O
0.596 0.739 0.927 O
0.675 0.165 0.153 O
0.696 0.762 0.294 O
0.740 0.265 0.803 O
0.755 0.931 0.607 O
0.764 0.419 0.106 O
0.771 0.238 0.440 O
0.860 0.579 0.822 O
0.861 0.098 0.318 O
0.869 0.217 0.011 O
0.873 0.223 0.631 O
0.925 0.358 0.305 O
0.925 0.666 0.144 O
0.925 0.744 0.507 O
0.945 0.830 0.838 O
0.986 0.667 0.654 O
```

=====

Entry 4:
Structure and theoretical powder diffraction line list of V4Te3N2 (the PBE geometry in the Materials Project; a wavelength of 1.5418 Å).
No peak broadening, texture or thermal motion is included.

Top 10 peaks for 2θ from 15° to 90°, sorted by position:
- 2θ 26.65, rel. 92.7
- 2θ 30.19, rel. 26.6
- 2θ 31.93, rel. 79.8
- 2θ 33.02, rel. 28.8
- 2θ 33.54, rel. 76.9
- 2θ 34.44, rel. 100.0
- 2θ 43.59, rel. 27.8
- 2θ 44.63, rel. 39.1
- 2θ 50.96, rel. 21.3
- 2θ 62.55, rel. 21.5

Structure:
```
V4Te3N2
1.0
6.526 0.000 0.000
0.000 10.755 0.000
0.000 0.000 9.312
V Te N
16 12 8
Direct
0.107 0.250 0.086 V
0.179 0.025 0.949 V
0.179 0.475 0.949 V
0.247 0.750 0.063 V
0.253 0.250 0.563 V
0.321 0.525 0.449 V
0.321 0.975 0.449 V
0.393 0.750 0.586 V
0.607 0.250 0.414 V
0.679 0.025 0.551 V
0.679 0.475 0.551 V
0.747 0.750 0.437 V
0.753 0.250 0.937 V
0.821 0.525 0.051 V
0.821 0.975 0.051 V
0.893 0.750 0.914 V
0.056 0.575 0.675 Te
0.056 0.925 0.675 Te
0.148 0.750 0.342 Te
0.352 0.250 0.842 Te
0.444 0.075 0.175 Te
0.444 0.425 0.175 Te
0.556 0.575 0.825 Te
0.556 0.925 0.825 Te
0.648 0.750 0.158 Te
0.852 0.250 0.658 Te
0.944 0.075 0.325 Te
0.944 0.425 0.325 Te
0.063 0.625 0.026 N
0.063 0.875 0.026 N
0.437 0.125 0.526 N
0.437 0.375 0.526 N
0.563 0.625 0.474 N
0.563 0.875 0.474 N
0.937 0.125 0.974 N
0.937 0.375 0.974 N
```